Starting from DFT lattice parameters and positions (GGA+U), the PXRD pattern of Rb2WClF6 was simulated for λ = 1.5418 Å (Cu Kα).

Structure:
Cell lengths 5.7499, 5.7998, 7.9167 Å; angles 71.23, 69.55, 78.04 degrees
Space group P1 (No. 1)
Asymmetric unit:
Rb 0.0000 0.0000 0.0000 x1
Rb 0.4317 0.4681 0.3669 x1
W 0.7463 0.6992 0.6822 x1
Cl 0.3848 0.0773 0.1806 x1
F 0.0102 0.8795 0.6459 x1
F 0.4801 0.5211 0.7192 x1
F 0.5110 0.9963 0.6745 x1
F 0.6878 0.6403 0.9506 x1
F 0.8274 0.7395 0.4128 x1
F 0.9838 0.4012 0.6868 x1

Peak list (10 most intense, 5° ≤ 2θ ≤ 70°, in order of rising 2θ)
Position (°2θ), d/Å, I_rel
12.4, 7.138, 74
16.2, 5.460, 62
16.5, 5.357, 44
20.0, 4.437, 96
23.0, 3.859, 100
23.6, 3.768, 91
24.5, 3.634, 100
25.1, 3.541, 46
25.4, 3.504, 53
25.8, 3.448, 49